Theoretical powder diffractogram
Compound: Na8SnBi6
Radiation: a wavelength of 1.5418 Å
Structure: DFT lattice parameters and positions (PBE)

Crystal structure
Unit cell a=8.3133 b=8.3133 c=8.3133 alpha=72.34 beta=72.34 gamma=72.34
Positions (direct):
Na 0.1159 0.1159 0.1159
Na 0.1672 0.5999 0.3186
Na 0.3186 0.1672 0.5999
Na 0.4001 0.6814 0.8328
Na 0.5999 0.3186 0.1672
Na 0.6814 0.8328 0.4001
Na 0.8328 0.4001 0.6814
Na 0.8841 0.8841 0.8841
Sn 0.5000 0.5000 0.5000
Bi 0.1166 0.5061 0.7961
Bi 0.2039 0.8834 0.4939
Bi 0.4939 0.2039 0.8834
Bi 0.5061 0.7961 0.1166
Bi 0.7961 0.1166 0.5061
Bi 0.8834 0.4939 0.2039

Top 10 peaks for 5° ≤ 2θ ≤ 70°, by angle:
| 2θ (°) | I/Imax |
| --- | --- |
| 14.56 | 100 |
| 18.08 | 31 |
| 23.29 | 58 |
| 28.21 | 20 |
| 31.59 | 65 |
| 34.70 | 60 |
| 34.94 | 81 |
| 47.64 | 19 |
| 48.58 | 24 |
| 58.29 | 20 |

---

Theoretical powder diffractogram
Compound: NaSnBi3
Radiation: a wavelength of 1.5418 Å
Structure: DFT lattice parameters and positions (PBE)

Crystal structure
Unit cell a=6.3329 b=6.6897 c=9.0568 alpha=89.99 beta=89.98 gamma=69.84
Positions (direct):
Na 0.1393 0.4374 0.2504
Na 0.8607 0.5626 0.7496
Sn 0.3220 0.0158 0.7502
Sn 0.6780 0.9842 0.2498
Bi 0.1961 0.9228 0.2499
Bi 0.2711 0.6684 0.5504
Bi 0.2709 0.6681 0.9497
Bi 0.7291 0.3319 0.0503
Bi 0.7289 0.3316 0.4496
Bi 0.8039 0.0772 0.7501

Top 10 peaks for 5° ≤ 2θ ≤ 70°, by angle:
| 2θ (°) | I/Imax |
| --- | --- |
| 16.63 | 100 |
| 23.90 | 36 |
| 24.23 | 83 |
| 30.09 | 81 |
| 32.92 | 30 |
| 33.29 | 36 |
| 34.77 | 40 |
| 35.09 | 30 |
| 41.51 | 38 |
| 42.83 | 36 |

---

Theoretical powder diffractogram
Compound: Na5SnBi6
Radiation: a wavelength of 1.5418 Å
Structure: DFT lattice parameters and positions (PBE)

Crystal structure
Unit cell a=4.8827 b=9.8817 c=7.6847 alpha=90.00 beta=107.52 gamma=90.00
Positions (direct):
Na 0.0000 0.0000 0.0000
Na 0.3322 0.0000 0.6663
Na 0.3343 0.5000 0.6694
Na 0.6657 0.5000 0.3306
Na 0.6678 0.0000 0.3337
Sn 0.0000 0.5000 0.0000
Bi 0.1705 0.2506 0.3352
Bi 0.1705 0.7494 0.3352
Bi 0.5000 0.2508 0.0000
Bi 0.5000 0.7492 0.0000
Bi 0.8295 0.2506 0.6648
Bi 0.8295 0.7494 0.6648

Top 10 peaks for 5° ≤ 2θ ≤ 70°, by angle:
| 2θ (°) | I/Imax |
| --- | --- |
| 17.95 | 84 |
| 25.57 | 37 |
| 26.03 | 36 |
| 31.42 | 100 |
| 31.80 | 97 |
| 36.37 | 34 |
| 36.81 | 66 |
| 41.24 | 44 |
| 52.71 | 48 |
| 62.73 | 29 |

---

Theoretical powder diffractogram
Compound: Na6Sn2Bi
Radiation: a wavelength of 1.5418 Å
Structure: DFT lattice parameters and positions (PBE)

Crystal structure
Unit cell a=6.2787 b=6.2787 c=6.2787 alpha=94.75 beta=94.75 gamma=94.75
Positions (direct):
Na 0.0000 0.3326 0.6674
Na 0.0000 0.6674 0.3326
Na 0.3326 0.0000 0.6674
Na 0.3326 0.6674 0.0000
Na 0.6674 0.0000 0.3326
Na 0.6674 0.3326 0.0000
Sn 0.1609 0.1609 0.1609
Sn 0.8391 0.8391 0.8391
Bi 0.5000 0.5000 0.5000

Top 10 peaks for 5° ≤ 2θ ≤ 70°, by angle:
| 2θ (°) | I/Imax |
| --- | --- |
| 19.21 | 98 |
| 33.29 | 100 |
| 33.60 | 64 |
| 38.99 | 17 |
| 43.57 | 17 |
| 48.02 | 36 |
| 52.40 | 15 |
| 59.88 | 38 |
| 60.08 | 12 |
| 66.47 | 17 |

---

Theoretical powder diffractogram
Compound: NaSr2Bi6
Radiation: a wavelength of 1.5418 Å
Structure: DFT lattice parameters and positions (PBE)

Crystal structure
Unit cell a=9.7690 b=9.7690 c=4.6391 alpha=103.52 beta=103.52 gamma=60.61
Positions (direct):
Na 0.0000 0.0000 0.0000
Sr 0.3619 0.3619 0.3703
Sr 0.6380 0.6380 0.6456
Bi 0.0370 0.5903 0.8208
Bi 0.3380 0.6619 0.0083
Bi 0.4095 0.9628 0.1946
Bi 0.5903 0.0370 0.8208
Bi 0.6619 0.3380 0.0083
Bi 0.9628 0.4095 0.1946

Top 10 peaks for 5° ≤ 2θ ≤ 70°, by angle:
| 2θ (°) | I/Imax |
| --- | --- |
| 10.50 | 64 |
| 17.99 | 87 |
| 19.91 | 100 |
| 26.96 | 79 |
| 31.21 | 85 |
| 31.86 | 71 |
| 33.62 | 53 |
| 33.76 | 52 |
| 35.25 | 56 |
| 38.82 | 48 |

---

Theoretical powder diffractogram
Compound: Na2SrBi2
Radiation: a wavelength of 1.5418 Å
Structure: DFT lattice parameters and positions (PBE)

Crystal structure
Unit cell a=7.3528 b=7.3528 c=7.3528 alpha=42.85 beta=42.85 gamma=42.85
Positions (direct):
Na 0.2045 0.2045 0.2045
Na 0.7955 0.7955 0.7955
Sr 0.0000 0.0000 0.0000
Bi 0.4193 0.4193 0.4193
Bi 0.5807 0.5807 0.5807

Top 10 peaks for 5° ≤ 2θ ≤ 70°, by angle:
| 2θ (°) | I/Imax |
| --- | --- |
| 19.59 | 76 |
| 21.06 | 69 |
| 29.45 | 100 |
| 33.36 | 97 |
| 36.92 | 44 |
| 43.26 | 32 |
| 45.09 | 32 |
| 57.23 | 31 |
| 61.97 | 20 |
| 65.96 | 19 |